# 1
Structure and theoretical powder diffraction line list of Cr2Fe21B6 (a GGA-PBE-relaxed structure; Cu Kα, 1.54184 Å).

The 10 most intense peaks (5° ≤ 2θ ≤ 70°), by angle:
- 2θ 29.3, I = 3
- 2θ 34.0, I = 5
- 2θ 38.1, I = 20
- 2θ 41.9, I = 27
- 2θ 44.6, I = 100
- 2θ 48.8, I = 21
- 2θ 51.2, I = 27
- 2θ 52.0, I = 13
- 2θ 57.2, I = 2
- 2θ 57.9, I = 6

Cell and atoms:
a = 7.4659 Å, b = 7.4659 Å, c = 7.4659 Å
α = 60.00°, β = 60.00°, γ = 60.00°
Fractional positions:
Cr 0.2500 0.2500 0.2500
Cr 0.7500 0.7500 0.7500
Fe 0.0000 0.0000 0.0000
Fe 0.0000 0.0000 0.3416
Fe 0.0000 0.0000 0.6584
Fe 0.0000 0.3416 0.0000
Fe 0.0000 0.3416 0.6584
Fe 0.0000 0.6584 0.0000
Fe 0.0000 0.6584 0.3416
Fe 0.1437 0.6188 0.6188
Fe 0.3416 0.0000 0.0000
Fe 0.3416 0.0000 0.6584
Fe 0.3416 0.6584 0.0000
Fe 0.3812 0.3812 0.3812
Fe 0.3812 0.3812 0.8563
Fe 0.3812 0.8563 0.3812
Fe 0.6188 0.1437 0.6188
Fe 0.6188 0.6188 0.1437
Fe 0.6188 0.6188 0.6188
Fe 0.6584 0.0000 0.0000
Fe 0.6584 0.0000 0.3416
Fe 0.6584 0.3416 0.0000
Fe 0.8563 0.3812 0.3812
B 0.2753 0.2753 0.7247
B 0.2753 0.7247 0.2753
B 0.2753 0.7247 0.7247
B 0.7247 0.2753 0.2753
B 0.7247 0.2753 0.7247
B 0.7247 0.7247 0.2753

# 2
Structure and theoretical powder diffraction line list of Cr9FeB6 (a GGA-PBE-relaxed structure; Cu Kα, 1.54184 Å).

The 10 most intense peaks (5° ≤ 2θ ≤ 70°), by angle:
- 2θ 29.4, I = 21
- 2θ 35.8, I = 12
- 2θ 37.9, I = 26
- 2θ 38.4, I = 52
- 2θ 43.2, I = 24
- 2θ 46.5, I = 100
- 2θ 47.8, I = 15
- 2θ 49.7, I = 44
- 2θ 53.8, I = 37
- 2θ 54.9, I = 15

Cell and atoms:
a = 6.2983 Å, b = 6.2983 Å, c = 6.2983 Å
α = 129.38°, β = 129.38°, γ = 74.40°
Fractional positions:
Cr 0.0000 0.0000 0.0000
Cr 0.0227 0.5250 0.8426
Cr 0.1801 0.0227 0.4977
Cr 0.3176 0.8199 0.8426
Cr 0.4750 0.3176 0.4977
Cr 0.5250 0.6824 0.5023
Cr 0.6824 0.1801 0.1574
Cr 0.8199 0.9773 0.5023
Cr 0.9773 0.4750 0.1574
Fe 0.5000 0.5000 0.0000
B 0.1226 0.3846 0.5072
B 0.2476 0.2476 0.0000
B 0.3846 0.8774 0.2620
B 0.6154 0.1226 0.7380
B 0.7524 0.7524 0.0000
B 0.8774 0.6154 0.4928

# 3
Structure and theoretical powder diffraction line list of CrB6H16 (a GGA-PBE-relaxed structure; Cu Kα, 1.54184 Å).

The 10 most intense peaks (5° ≤ 2θ ≤ 70°), by angle:
- 2θ 9.0, I = 100
- 2θ 18.1, I = 44
- 2θ 23.4, I = 9
- 2θ 24.4, I = 6
- 2θ 25.0, I = 14
- 2θ 27.9, I = 4
- 2θ 28.7, I = 4
- 2θ 34.5, I = 11
- 2θ 35.8, I = 6
- 2θ 37.0, I = 5

Cell and atoms:
a = 4.0079 Å, b = 5.2899 Å, c = 10.1413 Å
α = 77.11°, β = 79.05°, γ = 69.76°
Fractional positions:
Cr 0.0000 0.0000 0.0000
B 0.0951 0.0281 0.5634
B 0.4775 0.6387 0.9366
B 0.4979 0.3026 0.8975
B 0.5021 0.6974 0.1025
B 0.5225 0.3613 0.0634
B 0.9049 0.9719 0.4366
H 0.0362 0.2563 0.5811
H 0.1882 0.7906 0.8825
H 0.2100 0.0164 0.4333
H 0.2207 0.2351 0.9065
H 0.2220 0.8938 0.1414
H 0.2763 0.3158 0.1411
H 0.2845 0.8350 0.6304
H 0.4835 0.4243 0.7811
H 0.5165 0.5757 0.2189
H 0.7155 0.1650 0.3696
H 0.7237 0.6842 0.8589
H 0.7780 0.1062 0.8586
H 0.7793 0.7649 0.0935
H 0.7900 0.9836 0.5667
H 0.8118 0.2094 0.1175
H 0.9638 0.7437 0.4189

# 4
Structure and theoretical powder diffraction line list of CrB6H16 (a GGA-PBE-relaxed structure; Cu Kα, 1.54184 Å).

The 10 most intense peaks (5° ≤ 2θ ≤ 70°), by angle:
- 2θ 10.5, I = 100
- 2θ 17.2, I = 64
- 2θ 17.4, I = 89
- 2θ 22.2, I = 28
- 2θ 23.7, I = 43
- 2θ 26.3, I = 30
- 2θ 31.8, I = 14
- 2θ 33.5, I = 11
- 2θ 35.7, I = 12
- 2θ 39.5, I = 15

Cell and atoms:
a = 4.3814 Å, b = 5.7982 Å, c = 8.9071 Å
α = 105.91°, β = 93.09°, γ = 111.98°
Fractional positions:
Cr 0.0000 0.0000 0.0000
B 0.1026 0.8287 0.6262
B 0.2633 0.8066 0.8101
B 0.3046 0.1124 0.8008
B 0.6954 0.8876 0.1992
B 0.7367 0.1934 0.1899
B 0.8974 0.1713 0.3738
H 0.0687 0.7092 0.8968
H 0.1167 0.6214 0.6819
H 0.1267 0.2131 0.8782
H 0.1837 0.1034 0.6657
H 0.1958 0.2538 0.4092
H 0.2586 0.8055 0.5204
H 0.4128 0.7277 0.1726
H 0.4759 0.2151 0.1607
H 0.5241 0.7849 0.8393
H 0.5872 0.2723 0.8274
H 0.7414 0.1945 0.4796
H 0.8042 0.7462 0.5908
H 0.8163 0.8966 0.3343
H 0.8733 0.7869 0.1218
H 0.8833 0.3786 0.3181
H 0.9313 0.2908 0.1032

# 5
Structure and theoretical powder diffraction line list of HfCrB4 (a GGA-PBE-relaxed structure; Cu Kα, 1.54184 Å).

The 10 most intense peaks (5° ≤ 2θ ≤ 70°), by angle:
- 2θ 22.1, I = 35
- 2θ 27.0, I = 66
- 2θ 28.5, I = 36
- 2θ 32.0, I = 86
- 2θ 35.1, I = 28
- 2θ 39.6, I = 36
- 2θ 42.3, I = 100
- 2θ 45.3, I = 22
- 2θ 48.4, I = 18
- 2θ 65.6, I = 22

Cell and atoms:
a = 5.7838 Å, b = 11.1833 Å, c = 3.3071 Å
α = 90.00°, β = 90.00°, γ = 90.00°
Fractional positions:
Hf 0.1273 0.1498 0.0000
Hf 0.3727 0.6498 0.0000
Hf 0.6273 0.3502 0.0000
Hf 0.8727 0.8502 0.0000
Cr 0.1296 0.4148 0.0000
Cr 0.3704 0.9148 0.0000
Cr 0.6296 0.0852 0.0000
Cr 0.8704 0.5852 0.0000
B 0.0230 0.6943 0.5000
B 0.1154 0.5479 0.5000
B 0.1328 0.9675 0.5000
B 0.2107 0.8136 0.5000
B 0.2893 0.3136 0.5000
B 0.3672 0.4675 0.5000
B 0.3846 0.0479 0.5000
B 0.4770 0.1943 0.5000
B 0.5230 0.8057 0.5000
B 0.6154 0.9521 0.5000
B 0.6328 0.5325 0.5000
B 0.7107 0.6864 0.5000
B 0.7893 0.1864 0.5000
B 0.8672 0.0325 0.5000
B 0.8846 0.4521 0.5000
B 0.9770 0.3057 0.5000

# 6
Structure and theoretical powder diffraction line list of La2CrBIr (a GGA-PBE-relaxed structure; Cu Kα, 1.54184 Å).

The 10 most intense peaks (5° ≤ 2θ ≤ 70°), by angle:
- 2θ 16.9, I = 14
- 2θ 28.0, I = 12
- 2θ 32.9, I = 100
- 2θ 34.3, I = 48
- 2θ 44.8, I = 7
- 2θ 45.1, I = 11
- 2θ 49.2, I = 17
- 2θ 57.8, I = 21
- 2θ 60.5, I = 35
- 2θ 69.0, I = 12

Cell and atoms:
a = 5.2352 Å, b = 5.2352 Å, c = 4.0208 Å
α = 90.00°, β = 90.00°, γ = 90.00°
Fractional positions:
La 0.0000 0.5000 0.0000
La 0.5000 0.0000 0.0000
Cr 0.0000 0.0000 0.5000
B 0.0000 0.0000 0.0000
Ir 0.5000 0.5000 0.5000

# 7
Structure and theoretical powder diffraction line list of TiCrB2Ir2 (a GGA-PBE-relaxed structure; Cu Kα, 1.54184 Å).

The 10 most intense peaks (5° ≤ 2θ ≤ 70°), by angle:
- 2θ 11.9, I = 37
- 2θ 27.8, I = 38
- 2θ 30.3, I = 27
- 2θ 31.9, I = 43
- 2θ 37.0, I = 19
- 2θ 42.2, I = 43
- 2θ 42.8, I = 100
- 2θ 44.1, I = 33
- 2θ 52.9, I = 22
- 2θ 57.4, I = 27

Cell and atoms:
a = 8.5577 Å, b = 8.5577 Å, c = 3.2141 Å
α = 90.00°, β = 90.00°, γ = 120.00°
Fractional positions:
Ti 0.0000 0.5896 0.0000
Ti 0.4104 0.4104 0.0000
Ti 0.5896 0.0000 0.0000
Cr 0.0000 0.1701 0.0000
Cr 0.1701 0.0000 0.0000
Cr 0.8299 0.8299 0.0000
B 0.0000 0.0000 0.5000
B 0.0000 0.7972 0.5000
B 0.2028 0.2028 0.5000
B 0.3333 0.6667 0.0000
B 0.6667 0.3333 0.0000
B 0.7972 0.0000 0.5000
Ir 0.1848 0.4612 0.5000
Ir 0.2764 0.8152 0.5000
Ir 0.4612 0.1848 0.5000
Ir 0.5388 0.7236 0.5000
Ir 0.7236 0.5388 0.5000
Ir 0.8152 0.2764 0.5000